Calculated powder diffractogram
Compound: PaP3
Radiation: a wavelength of 1.5418 Å
Structure: the GGA-PBE geometry in the Materials Project
Neutral-atom scattering factors, no anomalous dispersion.

Peak list (10 most intense, 2θ from 10° to 90°, in order of falling intensity)
index  Position (°2θ)  I (rel.)
1 0 1  24.65  100
2 0 1  40.98  78
1 0 0  18.43  51
1 1 0  32.21  42
2 1 1  53.06  37
0 0 2  32.79  34
1 1 2  46.63  31
2 0 3  64.14  21
1 0 2  37.88  17
2 0 0  37.37  17

Crystal structure
```
data_PaP3
_chemical_formula_sum 'Pa2 P6'
_symmetry_space_group_name_H-M 'P 63/m m c'
_symmetry_Int_Tables_number 194
_symmetry_space_group_name_Hall '-P 6c 2c'
_cell_length_a 5.5577
_cell_length_b 5.5577
_cell_length_c 5.4620
_cell_angle_alpha 90.00
_cell_angle_beta 90.00
_cell_angle_gamma 120.00
loop_
_atom_site_label
_atom_site_fract_x
_atom_site_fract_y
_atom_site_fract_z
Pa1 0.3333 0.6667 0.2500
P1 0.1899 0.3798 0.7500
```